[1]
Computed powder diffraction line list
Compound: Pr4DyHo4
Radiation: Cu Kα, 1.54184 Å
Structure: a DFT-relaxed cell (GGA-PBE, Alexandria)
Kinematic intensities with the Lorentz-polarization factor, no thermal factor.

Largest 10 diffraction maxima, by angle, 2θ from 10° to 90°:
30.72 deg, intensity 90
31.15 deg, intensity 100
31.36 deg, intensity 40
31.56 deg, intensity 52
43.54 deg, intensity 15
45.09 deg, intensity 30
54.77 deg, intensity 15
55.16 deg, intensity 16
55.68 deg, intensity 17
55.95 deg, intensity 32

Structure:
abc: 8.992 8.992 6.809
angles: 112.02 112.02 36.75
Fractional coordinates of all 9 atoms:
1 Pr 0.133 0.133 0.310
2 Pr 0.280 0.280 0.846
3 Pr 0.720 0.720 0.154
4 Pr 0.867 0.867 0.690
5 Dy 0.500 0.500 0.000
6 Ho 0.071 0.071 0.768
7 Ho 0.379 0.379 0.425
8 Ho 0.621 0.621 0.575
9 Ho 0.929 0.929 0.232



[2]
Computed powder diffraction line list
Compound: Cs3SnF
Radiation: Cu Kα, 1.54184 Å
Structure: a DFT-relaxed cell (GGA-PBE, Alexandria)
Kinematic intensities with the Lorentz-polarization factor, no thermal factor.

Largest 10 diffraction maxima, by angle, 2θ from 10° to 90°:
23.72 deg, intensity 40
24.90 deg, intensity 100
25.84 deg, intensity 36
29.33 deg, intensity 13
31.71 deg, intensity 41
37.40 deg, intensity 39
40.61 deg, intensity 17
43.27 deg, intensity 32
49.94 deg, intensity 32
50.57 deg, intensity 14

Structure:
abc: 8.363 8.363 8.926
angles: 117.99 117.99 60.00
Fractional coordinates of all 10 atoms:
1 Cs 0.086 0.573 0.246
2 Cs 0.087 0.087 0.246
3 Cs 0.427 0.914 0.754
4 Cs 0.573 0.086 0.246
5 Cs 0.913 0.913 0.754
6 Cs 0.914 0.427 0.754
7 Sn 0.438 0.438 0.813
8 Sn 0.562 0.562 0.187
9 F 0.164 0.164 0.993
10 F 0.836 0.836 0.007